Starting from DFT lattice parameters and positions (PBE), the powder XRD pattern of YbPaO4 was simulated for CuKα.
No peak broadening, texture or thermal motion is included.

Largest 10 diffraction maxima, most intense first, 2θ from 5° to 70°:
| 2θ (°) | I_rel |
| --- | --- |
| 28.69 | 100 |
| 47.67 | 34 |
| 56.73 | 31 |
| 33.32 | 23 |
| 47.83 | 17 |
| 56.44 | 16 |
| 33.10 | 12 |
| 59.40 | 10 |
| 69.96 | 5 |
| 69.45 | 3 |

Structural model:
```
YbPaO4
1.0
3.803 0.000 0.000
0.000 3.803 0.000
0.000 0.000 5.413
Yb Pa O
1 1 4
Direct
0.000 0.000 0.000
0.500 0.500 0.500
0.000 0.500 0.261
0.000 0.500 0.739
0.500 0.000 0.261
0.500 0.000 0.739
```